No. 1
Starting from a DFT-relaxed cell (PBE, Alexandria), the powder diffraction line list of Ac5Pr5Sn6 was simulated for copper Kα.

Crystal structure
```
data_Ac5Pr5Sn6
_cell_length_a 6.9732
_cell_length_b 9.6653
_cell_length_c 9.6653
_cell_angle_alpha 119.60
_cell_angle_beta 90.00
_cell_angle_gamma 90.00
_symmetry_space_group_name_H-M 'P 1'
_symmetry_Int_Tables_number 1
loop_
_symmetry_equiv_pos_as_xyz
'x,y,z'
loop_
_atom_site_label
_atom_site_type_symbol
_atom_site_fract_x
_atom_site_fract_y
_atom_site_fract_z
Ac1 Ac 0.0000 0.0000 0.0000
Ac2 Ac 0.0000 0.2499 0.4943
Ac3 Ac 0.0000 0.4943 0.2499
Ac4 Ac 0.5000 0.0028 0.2488
Ac5 Ac 0.5000 0.2488 0.0028
Pr1 Pr 0.2511 0.5821 0.9153
Pr2 Pr 0.2511 0.9153 0.5821
Pr3 Pr 0.5000 0.5016 0.5016
Pr4 Pr 0.7489 0.5821 0.9153
Pr5 Pr 0.7489 0.9153 0.5821
Sn1 Sn 0.0000 0.2495 0.8500
Sn2 Sn 0.0000 0.6462 0.6462
Sn3 Sn 0.0000 0.8500 0.2495
Sn4 Sn 0.5000 0.2555 0.6444
Sn5 Sn 0.5000 0.6444 0.2555
Sn6 Sn 0.5000 0.8464 0.8464
```

Most intense lines, 2θ = 15–90°, in order of rising 2θ:
2θ/deg  I/Imax
25.5  30
30.9  49
31.0  100
31.6  88
31.9  33
48.5  30



No. 2
Starting from a DFT-relaxed cell (PBE, Alexandria), the powder diffraction line list of TiGa2Ge4 was simulated for copper Kα.

Crystal structure
```
data_TiGa2Ge4
_cell_length_a 7.4240
_cell_length_b 7.4240
_cell_length_c 7.4240
_cell_angle_alpha 140.93
_cell_angle_beta 140.93
_cell_angle_gamma 56.44
_symmetry_space_group_name_H-M 'P 1'
_symmetry_Int_Tables_number 1
loop_
_symmetry_equiv_pos_as_xyz
'x,y,z'
loop_
_atom_site_label
_atom_site_type_symbol
_atom_site_fract_x
_atom_site_fract_y
_atom_site_fract_z
Ti1 Ti 0.0000 0.0000 0.0000
Ga1 Ga 0.3868 0.3868 0.0000
Ga2 Ga 0.6132 0.6132 0.0000
Ge1 Ge 0.0000 0.5000 0.5000
Ge2 Ge 0.1915 0.1915 0.0000
Ge3 Ge 0.5000 0.0000 0.5000
Ge4 Ge 0.8085 0.8085 0.0000
```

Most intense lines, 2θ = 15–90°, in order of rising 2θ:
2θ/deg  I/Imax
25.4  39
28.9  55
36.2  100
37.6  38
38.9  71
54.2  55



No. 3
Starting from a DFT-relaxed cell (PBE, Alexandria), the powder diffraction line list of LaZnH2O was simulated for copper Kα.

Crystal structure
```
data_LaZnH2O
_cell_length_a 4.5235
_cell_length_b 4.4476
_cell_length_c 4.4476
_cell_angle_alpha 50.10
_cell_angle_beta 90.00
_cell_angle_gamma 90.00
_symmetry_space_group_name_H-M 'P 1'
_symmetry_Int_Tables_number 1
loop_
_symmetry_equiv_pos_as_xyz
'x,y,z'
loop_
_atom_site_label
_atom_site_type_symbol
_atom_site_fract_x
_atom_site_fract_y
_atom_site_fract_z
La1 La 0.0000 0.0000 0.0000
Zn1 Zn 0.5000 0.6813 0.6813
H1 H 0.5000 0.1412 0.1412
H2 H 0.5000 0.8868 0.8868
O1 O 0.0000 0.6856 0.6856
```

Most intense lines, 2θ = 15–90°, in order of rising 2θ:
2θ/deg  I/Imax
26.1  57
29.7  74
32.9  100
41.3  47
48.3  36
58.7  32



No. 4
Starting from a DFT-relaxed cell (PBE, Alexandria), the powder diffraction line list of DyScHg was simulated for copper Kα.

Crystal structure
```
data_DyScHg
_cell_length_a 6.7108
_cell_length_b 6.7108
_cell_length_c 6.7108
_cell_angle_alpha 149.84
_cell_angle_beta 149.84
_cell_angle_gamma 43.17
_symmetry_space_group_name_H-M 'P 1'
_symmetry_Int_Tables_number 1
loop_
_symmetry_equiv_pos_as_xyz
'x,y,z'
loop_
_atom_site_label
_atom_site_type_symbol
_atom_site_fract_x
_atom_site_fract_y
_atom_site_fract_z
Dy1 Dy 0.0000 0.0000 0.0000
Sc1 Sc 0.3120 0.3120 0.0000
Hg1 Hg 0.6703 0.6703 0.0000
```

Most intense lines, 2θ = 15–90°, in order of rising 2θ:
2θ/deg  I/Imax
26.5  22
33.5  100
36.4  41
52.4  14
58.0  20
63.6  31



No. 5
Starting from a DFT-relaxed cell (PBE, Alexandria), the powder diffraction line list of Ba4LiPm3S8 was simulated for copper Kα.

Crystal structure
```
data_Ba4LiPm3S8
_cell_length_a 8.6164
_cell_length_b 8.6164
_cell_length_c 8.6164
_cell_angle_alpha 58.80
_cell_angle_beta 58.80
_cell_angle_gamma 58.80
_symmetry_space_group_name_H-M 'P 1'
_symmetry_Int_Tables_number 1
loop_
_symmetry_equiv_pos_as_xyz
'x,y,z'
loop_
_atom_site_label
_atom_site_type_symbol
_atom_site_fract_x
_atom_site_fract_y
_atom_site_fract_z
Ba1 Ba 0.0000 0.0000 0.0000
Ba2 Ba 0.0000 0.5000 0.5000
Ba3 Ba 0.5000 0.0000 0.5000
Ba4 Ba 0.5000 0.5000 0.0000
Li1 Li 0.5000 0.5000 0.5000
Pm1 Pm 0.0000 0.0000 0.5000
Pm2 Pm 0.0000 0.5000 0.0000
Pm3 Pm 0.5000 0.0000 0.0000
S1 S 0.2354 0.7407 0.7407
S2 S 0.2395 0.2395 0.2395
S3 S 0.2593 0.2593 0.7646
S4 S 0.2593 0.7646 0.2593
S5 S 0.7407 0.2354 0.7407
S6 S 0.7407 0.7407 0.2354
S7 S 0.7605 0.7605 0.7605
S8 S 0.7646 0.2593 0.2593
```

Most intense lines, 2θ = 15–90°, in order of rising 2θ:
2θ/deg  I/Imax
25.1  17
25.7  46
29.6  100
42.0  36
42.8  36
52.9  19



No. 6
Starting from a DFT-relaxed cell (PBE, Alexandria), the powder diffraction line list of CeP2O7 was simulated for copper Kα.

Crystal structure
```
data_CeP2O7
_cell_length_a 8.9049
_cell_length_b 8.9049
_cell_length_c 8.9049
_cell_angle_alpha 90.00
_cell_angle_beta 90.00
_cell_angle_gamma 90.00
_symmetry_space_group_name_H-M 'P 1'
_symmetry_Int_Tables_number 1
loop_
_symmetry_equiv_pos_as_xyz
'x,y,z'
loop_
_atom_site_label
_atom_site_type_symbol
_atom_site_fract_x
_atom_site_fract_y
_atom_site_fract_z
Ce1 Ce 0.0000 0.0000 0.0000
Ce2 Ce 0.0000 0.5000 0.5000
Ce3 Ce 0.5000 0.0000 0.5000
Ce4 Ce 0.5000 0.5000 0.0000
P1 P 0.1028 0.6028 0.8972
P2 P 0.1028 0.8972 0.3972
P3 P 0.3972 0.1028 0.8972
P4 P 0.3972 0.3972 0.3972
P5 P 0.6028 0.6028 0.6028
P6 P 0.6028 0.8972 0.1028
P7 P 0.8972 0.1028 0.6028
P8 P 0.8972 0.3972 0.1028
O1 O 0.0000 0.0000 0.5000
O2 O 0.0000 0.5000 0.0000
O3 O 0.0565 0.7347 0.4275
O4 O 0.0565 0.7653 0.9275
O5 O 0.0725 0.5565 0.7347
O6 O 0.0725 0.9435 0.2347
O7 O 0.2347 0.0725 0.9435
O8 O 0.2347 0.4275 0.4435
O9 O 0.2653 0.5725 0.9435
O10 O 0.2653 0.9275 0.4435
O11 O 0.4275 0.0565 0.7347
O12 O 0.4275 0.4435 0.2347
O13 O 0.4435 0.2347 0.4275
O14 O 0.4435 0.2653 0.9275
O15 O 0.5000 0.0000 0.0000
O16 O 0.5000 0.5000 0.5000
O17 O 0.5565 0.7347 0.0725
O18 O 0.5565 0.7653 0.5725
O19 O 0.5725 0.5565 0.7653
O20 O 0.5725 0.9435 0.2653
O21 O 0.7347 0.0725 0.5565
O22 O 0.7347 0.4275 0.0565
O23 O 0.7653 0.5725 0.5565
O24 O 0.7653 0.9275 0.0565
O25 O 0.9275 0.0565 0.7653
O26 O 0.9275 0.4435 0.2653
O27 O 0.9435 0.2347 0.0725
O28 O 0.9435 0.2653 0.5725
```

Most intense lines, 2θ = 15–90°, in order of rising 2θ:
2θ/deg  I/Imax
17.2  47
19.9  100
28.3  40
33.4  51
45.6  33
53.5  27



No. 7
Starting from a DFT-relaxed cell (PBE, Alexandria), the powder diffraction line list of Ti2NiPt4 was simulated for copper Kα.

Crystal structure
```
data_Ti2NiPt4
_cell_length_a 6.4663
_cell_length_b 5.1952
_cell_length_c 7.1964
_cell_angle_alpha 90.00
_cell_angle_beta 115.42
_cell_angle_gamma 90.00
_symmetry_space_group_name_H-M 'P 1'
_symmetry_Int_Tables_number 1
loop_
_symmetry_equiv_pos_as_xyz
'x,y,z'
loop_
_atom_site_label
_atom_site_type_symbol
_atom_site_fract_x
_atom_site_fract_y
_atom_site_fract_z
Ti1 Ti 0.0828 0.2500 0.4303
Ti2 Ti 0.2134 0.7500 0.0282
Ti3 Ti 0.7866 0.2500 0.9718
Ti4 Ti 0.9172 0.7500 0.5697
Ni1 Ni 0.0152 0.2500 0.7673
Ni2 Ni 0.9848 0.7500 0.2327
Pt1 Pt 0.2357 0.2500 0.1641
Pt2 Pt 0.3517 0.5028 0.7709
Pt3 Pt 0.3517 0.9972 0.7709
Pt4 Pt 0.4061 0.7500 0.4372
Pt5 Pt 0.5939 0.2500 0.5628
Pt6 Pt 0.6483 0.0028 0.2291
Pt7 Pt 0.6483 0.4972 0.2291
Pt8 Pt 0.7643 0.7500 0.8359
```

Most intense lines, 2θ = 15–90°, in order of rising 2θ:
2θ/deg  I/Imax
15.2  61
37.6  33
38.0  100
41.5  32
42.7  94
44.7  72



No. 8
Starting from a DFT-relaxed cell (PBE, Alexandria), the powder diffraction line list of Ba3Sr2In3 was simulated for copper Kα.

Crystal structure
```
data_Ba3Sr2In3
_cell_length_a 13.3837
_cell_length_b 13.3837
_cell_length_c 13.3837
_cell_angle_alpha 161.59
_cell_angle_beta 153.04
_cell_angle_gamma 32.84
_symmetry_space_group_name_H-M 'P 1'
_symmetry_Int_Tables_number 1
loop_
_symmetry_equiv_pos_as_xyz
'x,y,z'
loop_
_atom_site_label
_atom_site_type_symbol
_atom_site_fract_x
_atom_site_fract_y
_atom_site_fract_z
Ba1 Ba 0.0000 0.0000 0.0000
Ba2 Ba 0.3846 0.8846 0.5000
Ba3 Ba 0.6154 0.1154 0.5000
Sr1 Sr 0.2222 0.2222 0.0000
Sr2 Sr 0.7778 0.7778 0.0000
In1 In 0.1170 0.6170 0.5000
In2 In 0.5000 0.5000 0.0000
In3 In 0.8830 0.3830 0.5000
```

Most intense lines, 2θ = 15–90°, in order of rising 2θ:
2θ/deg  I/Imax
27.8  19
28.6  29
28.9  100
40.3  14
50.8  20
51.8  11



No. 9
Starting from a DFT-relaxed cell (PBE, Alexandria), the powder diffraction line list of Li3TlTe4O12 was simulated for copper Kα.

Crystal structure
```
data_Li3TlTe4O12
_cell_length_a 6.8546
_cell_length_b 6.8546
_cell_length_c 6.8546
_cell_angle_alpha 109.47
_cell_angle_beta 109.47
_cell_angle_gamma 109.47
_symmetry_space_group_name_H-M 'P 1'
_symmetry_Int_Tables_number 1
loop_
_symmetry_equiv_pos_as_xyz
'x,y,z'
loop_
_atom_site_label
_atom_site_type_symbol
_atom_site_fract_x
_atom_site_fract_y
_atom_site_fract_z
Li1 Li 0.0000 0.5000 0.5000
Li2 Li 0.5000 0.0000 0.5000
Li3 Li 0.5000 0.5000 0.0000
Tl1 Tl 0.0000 0.0000 0.0000
Te1 Te 0.0000 0.0000 0.5000
Te2 Te 0.0000 0.5000 0.0000
Te3 Te 0.5000 0.0000 0.0000
Te4 Te 0.5000 0.5000 0.5000
O1 O 0.1147 0.3084 0.8063
O2 O 0.1937 0.5021 0.3084
O3 O 0.1937 0.8853 0.6916
O4 O 0.3084 0.1937 0.5021
O5 O 0.3084 0.8063 0.1147
O6 O 0.4979 0.6916 0.8063
O7 O 0.5021 0.3084 0.1937
O8 O 0.6916 0.1937 0.8853
O9 O 0.6916 0.8063 0.4979
O10 O 0.8063 0.1147 0.3084
O11 O 0.8063 0.4979 0.6916
O12 O 0.8853 0.6916 0.1937
```

Most intense lines, 2θ = 15–90°, in order of rising 2θ:
2θ/deg  I/Imax
15.8  43
22.5  30
27.6  24
32.0  100
45.9  27
57.0  49



No. 10
Starting from a DFT-relaxed cell (PBE, Alexandria), the powder diffraction line list of ZrBe6 was simulated for copper Kα.

Crystal structure
```
data_ZrBe6
_cell_length_a 7.2479
_cell_length_b 4.2903
_cell_length_c 9.1025
_cell_angle_alpha 90.00
_cell_angle_beta 90.00
_cell_angle_gamma 90.00
_symmetry_space_group_name_H-M 'P 1'
_symmetry_Int_Tables_number 1
loop_
_symmetry_equiv_pos_as_xyz
'x,y,z'
loop_
_atom_site_label
_atom_site_type_symbol
_atom_site_fract_x
_atom_site_fract_y
_atom_site_fract_z
Zr1 Zr 0.2283 0.2500 0.0574
Zr2 Zr 0.2717 0.7500 0.5574
Zr3 Zr 0.7283 0.2500 0.4426
Zr4 Zr 0.7717 0.7500 0.9426
Be1 Be 0.0458 0.7500 0.1121
Be2 Be 0.0634 0.0057 0.3122
Be3 Be 0.0634 0.4943 0.3122
Be4 Be 0.0744 0.2500 0.5192
Be5 Be 0.1450 0.7500 0.8506
Be6 Be 0.1988 0.2500 0.7428
Be7 Be 0.3012 0.7500 0.2428
Be8 Be 0.3550 0.2500 0.3506
Be9 Be 0.4256 0.7500 0.0192
Be10 Be 0.4366 0.5057 0.8122
Be11 Be 0.4366 0.9943 0.8122
Be12 Be 0.4542 0.2500 0.6121
Be13 Be 0.5458 0.7500 0.3879
Be14 Be 0.5634 0.0057 0.1878
Be15 Be 0.5634 0.4943 0.1878
Be16 Be 0.5744 0.2500 0.9808
Be17 Be 0.6450 0.7500 0.6494
Be18 Be 0.6988 0.2500 0.7572
Be19 Be 0.8012 0.7500 0.2572
Be20 Be 0.8550 0.2500 0.1494
Be21 Be 0.9256 0.7500 0.4808
Be22 Be 0.9366 0.5057 0.6878
Be23 Be 0.9366 0.9943 0.6878
Be24 Be 0.9542 0.2500 0.8879
```

Most intense lines, 2θ = 15–90°, in order of rising 2θ:
2θ/deg  I/Imax
19.5  28
23.1  34
24.6  28
26.0  100
44.2  31
44.3  30



No. 11
Starting from a DFT-relaxed cell (PBE, Alexandria), the powder diffraction line list of Ta5Mo3 was simulated for copper Kα.

Crystal structure
```
data_Ta5Mo3
_cell_length_a 7.9667
_cell_length_b 7.9667
_cell_length_c 7.9667
_cell_angle_alpha 33.59
_cell_angle_beta 33.59
_cell_angle_gamma 33.59
_symmetry_space_group_name_H-M 'P 1'
_symmetry_Int_Tables_number 1
loop_
_symmetry_equiv_pos_as_xyz
'x,y,z'
loop_
_atom_site_label
_atom_site_type_symbol
_atom_site_fract_x
_atom_site_fract_y
_atom_site_fract_z
Ta1 Ta 0.0000 0.0000 0.0000
Ta2 Ta 0.1272 0.1272 0.1272
Ta3 Ta 0.3773 0.3773 0.3773
Ta4 Ta 0.6227 0.6227 0.6227
Ta5 Ta 0.8728 0.8728 0.8728
Mo1 Mo 0.2514 0.2514 0.2514
Mo2 Mo 0.5000 0.5000 0.5000
Mo3 Mo 0.7486 0.7486 0.7486
```

Most intense lines, 2θ = 15–90°, in order of rising 2θ:
2θ/deg  I/Imax
27.4  5
39.1  100
56.6  17
64.0  2
70.9  35
84.1  11



No. 12
Starting from a DFT-relaxed cell (PBE, Alexandria), the powder diffraction line list of NpTl2PtO6 was simulated for copper Kα.

Crystal structure
```
data_NpTl2PtO6
_cell_length_a 5.8846
_cell_length_b 5.8846
_cell_length_c 5.8846
_cell_angle_alpha 60.00
_cell_angle_beta 60.00
_cell_angle_gamma 60.00
_symmetry_space_group_name_H-M 'P 1'
_symmetry_Int_Tables_number 1
loop_
_symmetry_equiv_pos_as_xyz
'x,y,z'
loop_
_atom_site_label
_atom_site_type_symbol
_atom_site_fract_x
_atom_site_fract_y
_atom_site_fract_z
Np1 Np 0.0000 0.0000 0.0000
Tl1 Tl 0.2500 0.2500 0.2500
Tl2 Tl 0.7500 0.7500 0.7500
Pt1 Pt 0.5000 0.5000 0.5000
O1 O 0.2523 0.2523 0.7477
O2 O 0.2523 0.7477 0.2523
O3 O 0.2523 0.7477 0.7477
O4 O 0.7477 0.2523 0.2523
O5 O 0.7477 0.2523 0.7477
O6 O 0.7477 0.7477 0.2523
```

Most intense lines, 2θ = 15–90°, in order of rising 2θ:
2θ/deg  I/Imax
30.4  100
43.5  26
54.0  42
63.2  17
71.7  18
87.8  23